For LiMnS, a crystal structure in Alexandria, relaxed with PBE gives the calculated powder diffractogram in this record (CuKα).
Intensities are scaled so that the largest is 100.

Largest 8 diffraction maxima, low angle first, 2θ = 10–90°:
two_theta	d/Å	I/Imax
17.42	5.090	93
27.00	3.302	29
27.28	3.269	27
28.29	3.155	30
44.69	2.028	26
45.07	2.011	100
45.40	1.998	24
65.63	1.423	22

Structure:
```
LiMnS
1.0
0.000 4.056 5.685
3.996 0.000 5.685
3.996 4.056 0.000
Li Mn S
4 4 4
Cartesian
0.999 1.014 0.009
0.999 1.014 2.834
6.992 7.098 8.537
6.992 7.098 11.362
2.997 3.042 2.836
4.994 5.070 5.679
2.997 3.042 5.692
4.994 5.070 8.534
2.997 1.005 4.264
4.994 3.033 7.107
2.997 5.079 4.264
4.994 7.107 7.107
```

=====

For CaCd2Sn2Hg, a crystal structure in Alexandria, relaxed with PBE gives the calculated powder diffractogram in this record (CuKα).
Intensities are scaled so that the largest is 100.

Largest 8 diffraction maxima, low angle first, 2θ = 10–90°:
two_theta	d/Å	I/Imax
20.61	4.309	97
29.86	2.992	100
30.62	2.920	80
35.73	2.513	58
37.65	2.389	87
43.22	2.093	63
47.75	1.905	47
65.47	1.426	29

Structure:
```
CaCd2Sn2Hg
1.0
8.147 0.000 0.000
0.000 8.374 0.000
0.000 0.000 5.026
Ca Cd Sn Hg
2 4 4 2
Cartesian
0.000 0.000 0.000
4.073 4.187 2.513
1.454 1.624 2.513
2.619 5.811 0.000
5.527 2.562 0.000
6.692 6.749 2.513
1.623 6.818 2.513
2.450 2.631 0.000
5.697 5.742 0.000
6.523 1.556 2.513
0.000 4.187 0.000
4.073 0.000 2.513
```